(1)
Diffraction record for NbCd2Pt2. The PXRD pattern is simulated, not measured: it uses the GGA-PBE geometry in Alexandria and Cu Kα X-rays.
No peak broadening, texture or thermal motion is included.

Crystal structure
```
data_NbCd2Pt2
_chemical_formula_sum 'Nb2 Cd4 Pt4'
_cell_length_a 6.783
_cell_length_b 6.783
_cell_length_c 4.209
_cell_angle_alpha 90.00
_cell_angle_beta 90.00
_cell_angle_gamma 90.00
_space_group_name_H-M_alt 'P 1'
_space_group_IT_number 1
_space_group_name_Hall 'P 1'
loop_
_atom_site_label
_atom_site_fract_x
_atom_site_fract_y
_atom_site_fract_z
Nb1 0.000 0.000 0.000
Nb2 0.500 0.500 0.000
Cd1 0.168 0.332 0.500
Cd2 0.332 0.832 0.500
Cd3 0.668 0.168 0.500
Cd4 0.832 0.668 0.500
Pt1 0.137 0.637 0.000
Pt2 0.363 0.137 0.000
Pt3 0.637 0.863 0.000
Pt4 0.863 0.363 0.000
```

Main lines, in order of rising 2θ (2θ from 10° to 90°):
21.1°, rel. 14
36.5°, rel. 100
42.1°, rel. 28
43.0°, rel. 19
61.7°, rel. 18
74.5°, rel. 17

(2)
Diffraction record for Pm7MgGe2. The PXRD pattern is simulated, not measured: it uses the GGA-PBE geometry in Alexandria and Cu Kα X-rays.
No peak broadening, texture or thermal motion is included.

Crystal structure
```
data_Pm7MgGe2
_chemical_formula_sum 'Pm7 Mg1 Ge2'
_cell_length_a 5.235
_cell_length_b 5.235
_cell_length_c 12.793
_cell_angle_alpha 90.00
_cell_angle_beta 90.00
_cell_angle_gamma 120.00
_space_group_name_H-M_alt 'P 1'
_space_group_IT_number 1
_space_group_name_Hall 'P 1'
loop_
_atom_site_label
_atom_site_fract_x
_atom_site_fract_y
_atom_site_fract_z
Pm1 0.000 0.000 0.000
Pm2 0.000 0.000 0.261
Pm3 0.000 0.000 0.540
Pm4 0.333 0.667 0.135
Pm5 0.333 0.667 0.698
Pm6 0.667 0.333 0.382
Pm7 0.667 0.333 0.854
Mg1 0.333 0.667 0.415
Ge1 0.000 0.000 0.771
Ge2 0.667 0.333 0.106
```

Main lines, in order of rising 2θ (2θ from 10° to 90°):
24.1°, rel. 30
28.7°, rel. 15
34.3°, rel. 100
49.3°, rel. 16
61.4°, rel. 27
82.4°, rel. 10

(3)
Diffraction record for NdPu2CuS5. The PXRD pattern is simulated, not measured: it uses the GGA-PBE geometry in Alexandria and Cu Kα X-rays.
No peak broadening, texture or thermal motion is included.

Crystal structure
```
data_NdPu2CuS5
_chemical_formula_sum 'Nd2 Pu4 Cu2 S10'
_cell_length_a 8.658
_cell_length_b 8.658
_cell_length_c 11.726
_cell_angle_alpha 90.00
_cell_angle_beta 90.00
_cell_angle_gamma 154.26
_space_group_name_H-M_alt 'P 1'
_space_group_IT_number 1
_space_group_name_Hall 'P 1'
loop_
_atom_site_label
_atom_site_fract_x
_atom_site_fract_y
_atom_site_fract_z
Nd1 0.182 0.818 0.500
Nd2 0.818 0.182 0.000
Pu1 0.106 0.894 0.820
Pu2 0.112 0.888 0.162
Pu3 0.888 0.112 0.662
Pu4 0.894 0.106 0.320
Cu1 0.451 0.549 0.894
Cu2 0.549 0.451 0.394
S1 0.012 0.988 0.487
S2 0.304 0.696 0.172
S3 0.322 0.678 0.823
S4 0.349 0.651 0.489
S5 0.493 0.507 0.219
S6 0.507 0.493 0.719
S7 0.651 0.349 0.989
S8 0.678 0.322 0.323
S9 0.696 0.304 0.672
S10 0.988 0.012 0.987
```

Main lines, in order of rising 2θ (2θ from 10° to 90°):
21.1°, rel. 41
23.7°, rel. 40
25.1°, rel. 83
33.1°, rel. 100
36.4°, rel. 42
38.6°, rel. 51

(4)
Diffraction record for Fe3Pd6Pt2. The PXRD pattern is simulated, not measured: it uses the GGA-PBE geometry in Alexandria and Cu Kα X-rays.
No peak broadening, texture or thermal motion is included.

Crystal structure
```
data_Fe3Pd6Pt2
_chemical_formula_sum 'Fe3 Pd6 Pt2'
_cell_length_a 2.711
_cell_length_b 4.323
_cell_length_c 14.288
_cell_angle_alpha 81.54
_cell_angle_beta 84.66
_cell_angle_gamma 89.98
_space_group_name_H-M_alt 'P 1'
_space_group_IT_number 1
_space_group_name_Hall 'P 1'
loop_
_atom_site_label
_atom_site_fract_x
_atom_site_fract_y
_atom_site_fract_z
Fe1 0.000 0.000 0.000
Fe2 0.180 0.187 0.630
Fe3 0.820 0.813 0.370
Pd1 0.136 0.639 0.728
Pd2 0.278 0.275 0.448
Pd3 0.400 0.896 0.201
Pd4 0.600 0.104 0.799
Pd5 0.722 0.725 0.552
Pd6 0.864 0.361 0.272
Pt1 0.453 0.448 0.091
Pt2 0.547 0.552 0.909
```

Main lines, in order of rising 2θ (2θ from 10° to 90°):
20.8°, rel. 34
40.1°, rel. 40
40.9°, rel. 58
41.1°, rel. 58
41.4°, rel. 100
41.8°, rel. 60

(5)
Diffraction record for Ba2MgPb7. The PXRD pattern is simulated, not measured: it uses the GGA-PBE geometry in Alexandria and Cu Kα X-rays.
No peak broadening, texture or thermal motion is included.

Crystal structure
```
data_Ba2MgPb7
_chemical_formula_sum 'Ba2 Mg1 Pb7'
_cell_length_a 5.054
_cell_length_b 5.054
_cell_length_c 14.177
_cell_angle_alpha 90.00
_cell_angle_beta 90.00
_cell_angle_gamma 90.00
_space_group_name_H-M_alt 'P 1'
_space_group_IT_number 1
_space_group_name_Hall 'P 1'
loop_
_atom_site_label
_atom_site_fract_x
_atom_site_fract_y
_atom_site_fract_z
Ba1 0.000 0.500 0.237
Ba2 0.500 0.000 0.763
Mg1 0.500 0.500 0.000
Pb1 0.000 0.000 0.000
Pb2 0.000 0.000 0.500
Pb3 0.000 0.500 0.649
Pb4 0.000 0.500 0.867
Pb5 0.500 0.000 0.133
Pb6 0.500 0.000 0.351
Pb7 0.500 0.500 0.500
```

Main lines, in order of rising 2θ (2θ from 10° to 90°):
18.6°, rel. 38
25.8°, rel. 47
28.0°, rel. 100
35.5°, rel. 71
35.7°, rel. 61
36.3°, rel. 47

(6)
Diffraction record for Er5Bi4B. The PXRD pattern is simulated, not measured: it uses the GGA-PBE geometry in Alexandria and Cu Kα X-rays.
No peak broadening, texture or thermal motion is included.

Crystal structure
```
data_Er5Bi4B
_chemical_formula_sum 'Er5 Bi4 B1'
_cell_length_a 7.464
_cell_length_b 7.464
_cell_length_c 7.464
_cell_angle_alpha 99.82
_cell_angle_beta 99.82
_cell_angle_gamma 131.20
_space_group_name_H-M_alt 'P 1'
_space_group_IT_number 1
_space_group_name_Hall 'P 1'
loop_
_atom_site_label
_atom_site_fract_x
_atom_site_fract_y
_atom_site_fract_z
Er1 0.000 0.000 0.000
Er2 0.298 0.645 0.847
Er3 0.451 0.298 0.653
Er4 0.645 0.798 0.347
Er5 0.798 0.451 0.153
Bi1 0.128 0.365 0.394
Bi2 0.365 0.971 0.236
Bi3 0.735 0.128 0.764
Bi4 0.971 0.735 0.606
B1 0.582 0.582 0.000
```

Main lines, in order of rising 2θ (2θ from 10° to 90°):
29.0°, rel. 60
29.4°, rel. 100
31.5°, rel. 31
36.7°, rel. 30
41.7°, rel. 77
51.9°, rel. 28

(7)
Diffraction record for K4Rb3S. The PXRD pattern is simulated, not measured: it uses the GGA-PBE geometry in Alexandria and Cu Kα X-rays.
No peak broadening, texture or thermal motion is included.

Crystal structure
```
data_K4Rb3S
_chemical_formula_sum 'K8 Rb6 S2'
_cell_length_a 8.448
_cell_length_b 14.299
_cell_length_c 8.633
_cell_angle_alpha 90.00
_cell_angle_beta 90.00
_cell_angle_gamma 90.00
_space_group_name_H-M_alt 'P 1'
_space_group_IT_number 1
_space_group_name_Hall 'P 1'
loop_
_atom_site_label
_atom_site_fract_x
_atom_site_fract_y
_atom_site_fract_z
K1 0.002 0.250 0.041
K2 0.250 0.113 0.594
K3 0.250 0.387 0.594
K4 0.498 0.250 0.041
K5 0.502 0.750 0.959
K6 0.750 0.613 0.406
K7 0.750 0.887 0.406
K8 0.998 0.750 0.959
Rb1 0.250 0.024 0.169
Rb2 0.250 0.476 0.169
Rb3 0.250 0.750 0.519
Rb4 0.750 0.250 0.481
Rb5 0.750 0.524 0.831
Rb6 0.750 0.976 0.831
S1 0.250 0.250 0.305
S2 0.750 0.750 0.695
```

Main lines, in order of rising 2θ (2θ from 10° to 90°):
14.7°, rel. 54
21.0°, rel. 63
21.4°, rel. 61
23.1°, rel. 57
24.1°, rel. 47
26.6°, rel. 100

(8)
Diffraction record for Pr4SnAu7. The PXRD pattern is simulated, not measured: it uses the GGA-PBE geometry in Alexandria and Cu Kα X-rays.
No peak broadening, texture or thermal motion is included.

Crystal structure
```
data_Pr4SnAu7
_chemical_formula_sum 'Pr4 Sn1 Au7'
_cell_length_a 7.881
_cell_length_b 7.881
_cell_length_c 9.383
_cell_angle_alpha 119.83
_cell_angle_beta 119.83
_cell_angle_gamma 38.33
_space_group_name_H-M_alt 'P 1'
_space_group_IT_number 1
_space_group_name_Hall 'P 1'
loop_
_atom_site_label
_atom_site_fract_x
_atom_site_fract_y
_atom_site_fract_z
Pr1 0.059 0.059 0.240
Pr2 0.233 0.233 0.757
Pr3 0.767 0.767 0.243
Pr4 0.941 0.941 0.760
Sn1 0.500 0.500 0.500
Au1 0.000 0.000 0.500
Au2 0.175 0.175 0.050
Au3 0.303 0.303 0.500
Au4 0.407 0.407 0.138
Au5 0.593 0.593 0.862
Au6 0.697 0.697 0.500
Au7 0.825 0.825 0.950
```

Main lines, in order of rising 2θ (2θ from 10° to 90°):
30.5°, rel. 24
33.6°, rel. 100
34.7°, rel. 57
35.2°, rel. 23
35.6°, rel. 25
36.2°, rel. 25

(9)
Diffraction record for PmHfB12. The PXRD pattern is simulated, not measured: it uses the GGA-PBE geometry in Alexandria and Cu Kα X-rays.
No peak broadening, texture or thermal motion is included.

Crystal structure
```
data_PmHfB12
_chemical_formula_sum 'Pm1 Hf1 B12'
_cell_length_a 4.084
_cell_length_b 4.084
_cell_length_c 8.146
_cell_angle_alpha 90.00
_cell_angle_beta 90.00
_cell_angle_gamma 90.00
_space_group_name_H-M_alt 'P 1'
_space_group_IT_number 1
_space_group_name_Hall 'P 1'
loop_
_atom_site_label
_atom_site_fract_x
_atom_site_fract_y
_atom_site_fract_z
Pm1 0.000 0.000 0.000
Hf1 0.000 0.000 0.500
B1 0.198 0.500 0.254
B2 0.198 0.500 0.746
B3 0.500 0.198 0.254
B4 0.500 0.198 0.746
B5 0.500 0.500 0.101
B6 0.500 0.500 0.403
B7 0.500 0.500 0.597
B8 0.500 0.500 0.899
B9 0.500 0.802 0.254
B10 0.500 0.802 0.746
B11 0.802 0.500 0.254
B12 0.802 0.500 0.746
```

Main lines, in order of rising 2θ (2θ from 10° to 90°):
21.8°, rel. 71
31.0°, rel. 100
38.2°, rel. 42
49.9°, rel. 34
55.1°, rel. 29
69.0°, rel. 27

(10)
Diffraction record for Ho4CoBr5. The PXRD pattern is simulated, not measured: it uses the GGA-PBE geometry in Alexandria and Cu Kα X-rays.
No peak broadening, texture or thermal motion is included.

Crystal structure
```
data_Ho4CoBr5
_chemical_formula_sum 'Ho4 Co1 Br5'
_cell_length_a 9.521
_cell_length_b 9.521
_cell_length_c 8.394
_cell_angle_alpha 102.37
_cell_angle_beta 102.37
_cell_angle_gamma 23.46
_space_group_name_H-M_alt 'P 1'
_space_group_IT_number 1
_space_group_name_Hall 'P 1'
loop_
_atom_site_label
_atom_site_fract_x
_atom_site_fract_y
_atom_site_fract_z
Ho1 0.001 0.001 0.208
Ho2 0.356 0.356 0.924
Ho3 0.644 0.644 0.076
Ho4 0.999 0.999 0.792
Co1 0.500 0.500 0.000
Br1 0.168 0.168 0.336
Br2 0.178 0.178 0.840
Br3 0.500 0.500 0.500
Br4 0.822 0.822 0.160
Br5 0.832 0.832 0.664
```

Main lines, in order of rising 2θ (2θ from 10° to 90°):
10.8°, rel. 66
29.5°, rel. 51
31.4°, rel. 100
33.8°, rel. 21
43.5°, rel. 33
43.7°, rel. 30

(11)
Diffraction record for PaTi4Nb. The PXRD pattern is simulated, not measured: it uses the GGA-PBE geometry in Alexandria and Cu Kα X-rays.
No peak broadening, texture or thermal motion is included.

Crystal structure
```
data_PaTi4Nb
_chemical_formula_sum 'Pa2 Ti8 Nb2'
_cell_length_a 2.981
_cell_length_b 8.058
_cell_length_c 9.969
_cell_angle_alpha 111.17
_cell_angle_beta 91.96
_cell_angle_gamma 90.27
_space_group_name_H-M_alt 'P 1'
_space_group_IT_number 1
_space_group_name_Hall 'P 1'
loop_
_atom_site_label
_atom_site_fract_x
_atom_site_fract_y
_atom_site_fract_z
Pa1 0.240 0.376 0.372
Pa2 0.760 0.624 0.628
Ti1 0.011 0.220 0.888
Ti2 0.015 0.260 0.616
Ti3 0.462 0.487 0.133
Ti4 0.479 0.024 0.363
Ti5 0.521 0.976 0.637
Ti6 0.538 0.513 0.867
Ti7 0.985 0.740 0.384
Ti8 0.989 0.780 0.112
Nb1 0.290 0.874 0.879
Nb2 0.710 0.126 0.121
```

Main lines, in order of rising 2θ (2θ from 10° to 90°):
12.2°, rel. 100
35.5°, rel. 40
37.1°, rel. 42
38.2°, rel. 38
38.8°, rel. 37
40.0°, rel. 32

(12)
Diffraction record for Zn2Ga6Hg. The PXRD pattern is simulated, not measured: it uses the GGA-PBE geometry in Alexandria and Cu Kα X-rays.
No peak broadening, texture or thermal motion is included.

Crystal structure
```
data_Zn2Ga6Hg
_chemical_formula_sum 'Zn2 Ga6 Hg1'
_cell_length_a 5.407
_cell_length_b 5.407
_cell_length_c 6.296
_cell_angle_alpha 97.10
_cell_angle_beta 97.10
_cell_angle_gamma 75.32
_space_group_name_H-M_alt 'P 1'
_space_group_IT_number 1
_space_group_name_Hall 'P 1'
loop_
_atom_site_label
_atom_site_fract_x
_atom_site_fract_y
_atom_site_fract_z
Zn1 0.082 0.082 0.330
Zn2 0.918 0.918 0.670
Ga1 0.007 0.416 0.732
Ga2 0.293 0.707 0.000
Ga3 0.416 0.007 0.732
Ga4 0.584 0.993 0.268
Ga5 0.707 0.293 0.000
Ga6 0.993 0.584 0.268
Hg1 0.500 0.500 0.500
```

Main lines, in order of rising 2θ (2θ from 10° to 90°):
30.6°, rel. 69
32.1°, rel. 61
34.5°, rel. 51
38.5°, rel. 55
38.8°, rel. 100
44.4°, rel. 52

(13)
Diffraction record for ReAs3S. The PXRD pattern is simulated, not measured: it uses the GGA-PBE geometry in Alexandria and Cu Kα X-rays.
No peak broadening, texture or thermal motion is included.

Crystal structure
```
data_ReAs3S
_chemical_formula_sum 'Re1 As3 S1'
_cell_length_a 4.791
_cell_length_b 4.791
_cell_length_c 4.791
_cell_angle_alpha 90.00
_cell_angle_beta 90.00
_cell_angle_gamma 90.00
_space_group_name_H-M_alt 'P 1'
_space_group_IT_number 1
_space_group_name_Hall 'P 1'
loop_
_atom_site_label
_atom_site_fract_x
_atom_site_fract_y
_atom_site_fract_z
Re1 0.000 0.000 0.000
As1 0.000 0.000 0.500
As2 0.000 0.500 0.000
As3 0.500 0.000 0.000
S1 0.500 0.500 0.500
```

Main lines, in order of rising 2θ (2θ from 10° to 90°):
18.5°, rel. 100
26.3°, rel. 33
37.5°, rel. 68
42.2°, rel. 51
54.1°, rel. 46
57.7°, rel. 26